Calculated powder diffraction line list
Compound: Bi2Te2W3O16
Radiation: Cu Kα, 1.54184 Å
Structure: a cell relaxed with GGA+U

Principal peaks in the range 2θ from 5° to 70°, in order of falling intensity:
2θ 26.4, I = 100; 2θ 27.4, I = 84; 2θ 25.3, I = 56; 2θ 29.4, I = 54; 2θ 33.1, I = 38; 2θ 32.1, I = 34

Atomic structure:
Lattice parameters (Å, degrees): 21.907 5.611 13.101 90.00 124.28 90.00
Space group C2/c (No. 15)
One atom of each set of equivalent atoms:
1 Bi 0.224 0.163 0.344
2 Te 0.096 0.307 0.656
3 W 0.000 0.372 0.250
4 W 0.126 0.134 0.962
5 O 0.042 0.347 0.876
6 O 0.049 0.152 0.375
7 O 0.085 0.412 0.238
8 O 0.121 0.114 0.795
9 O 0.127 0.054 0.100
10 O 0.194 0.371 0.029
11 O 0.194 0.403 0.722
12 O 0.197 0.115 0.492